(1)
Simulated powder diffraction line list of CuPt for Cu Kα (weighted mean of Kα1 and Kα2), from DFT lattice parameters and positions (GGA-PBE).
No peak broadening, texture or thermal motion is included.

The 12 most intense peaks (10° ≤ 2θ ≤ 90°), sorted by position:
d_spacing	two_theta	intensity	index
8.075	10.96	18	0 1 0
4.499	19.73	18	0 1 1
3.237	27.55	13	0 2 1
2.915	30.67	16	1 1 1
2.211	40.81	100	1 0 2
2.202	40.99	97	1 3 0
1.914	47.50	32	2 0 0
1.909	47.63	63	0 3 2
1.352	69.55	40	2 3 2
1.154	83.85	36	3 0 2
1.153	83.92	12	3 3 0
1.150	84.22	22	1 6 2

Atomic structure:
```
data_CuPt
_cell_length_a 3.8279
_cell_length_b 8.0751
_cell_length_c 5.4174
_cell_angle_alpha 90.00
_cell_angle_beta 90.00
_cell_angle_gamma 90.00
_space_group_name_H-M_alt 'P m c 21'
_space_group_IT_number 26
_space_group_name_Hall 'P 2c -2'
loop_
_atom_site_label
_atom_site_fract_x
_atom_site_fract_y
_atom_site_fract_z
Cu1 0.0000 0.0026 0.0000
Cu2 0.0000 0.3261 0.0097
Cu3 0.5000 0.1637 0.7605
Pt1 0.0000 0.3252 0.5133
Pt2 0.5000 0.1551 0.2515
Pt3 0.5000 0.4958 0.7648
```

(2)
Simulated powder diffraction line list of CsAc for Cu Kα (weighted mean of Kα1 and Kα2), from DFT lattice parameters and positions (GGA-PBE).
No peak broadening, texture or thermal motion is included.

The 12 most intense peaks (10° ≤ 2θ ≤ 90°), sorted by position:
d_spacing	two_theta	intensity	index
8.016	11.04	17	0 0 2
4.008	22.18	60	0 0 4
3.524	25.28	33	1 0 0
3.441	25.89	100	1 0 1
2.942	30.39	63	1 0 3
2.646	33.87	31	1 0 4
2.371	37.94	39	1 0 5
2.034	44.54	29	1 1 0
1.920	47.34	18	1 0 7
1.814	50.30	41	1 1 4
1.751	52.24	15	2 0 1
1.428	65.37	19	1 1 8

Atomic structure:
```
data_CsAc
_cell_length_a 4.0687
_cell_length_b 4.0687
_cell_length_c 16.0319
_cell_angle_alpha 90.00
_cell_angle_beta 90.00
_cell_angle_gamma 120.00
_space_group_name_H-M_alt 'P 63 m c'
_space_group_IT_number 186
_space_group_name_Hall 'P 6c -2c'
loop_
_atom_site_label
_atom_site_fract_x
_atom_site_fract_y
_atom_site_fract_z
Cs1 0.3333 0.6667 0.0000
Ac1 0.3333 0.6667 0.7525
```

(3)
Simulated powder diffraction line list of TaCdPt for Cu Kα (weighted mean of Kα1 and Kα2), from DFT lattice parameters and positions (GGA-PBE).
No peak broadening, texture or thermal motion is included.

The 12 most intense peaks (10° ≤ 2θ ≤ 90°), sorted by position:
d_spacing	two_theta	intensity	index
3.819	23.29	39	1 1 -1
3.431	25.97	21	2 0 0
3.350	26.61	35	0 0 2
2.302	39.14	49	0 2 0
2.267	39.76	100	3 1 -1
2.222	40.60	67	1 1 -3
1.952	46.52	22	2 0 2
1.911	47.59	13	2 2 0
1.897	47.96	15	0 2 2
1.489	62.37	18	2 2 2
1.322	71.34	18	3 3 -1
1.150	84.16	16	0 4 0

Atomic structure:
```
data_TaCdPt
_cell_length_a 7.9664
_cell_length_b 4.6031
_cell_length_c 7.7779
_cell_angle_alpha 90.00
_cell_angle_beta 120.52
_cell_angle_gamma 90.00
_space_group_name_H-M_alt 'C 1 2/m 1'
_space_group_IT_number 12
_space_group_name_Hall '-C 2y'
loop_
_atom_site_label
_atom_site_fract_x
_atom_site_fract_y
_atom_site_fract_z
Ta1 0.0913 0.0000 0.3464
Cd1 0.1813 0.5000 0.8680
Pt1 0.2258 0.5000 0.2833
```